[1]
# Y5PuSe6
Simulated X-ray powder pattern, Cu Kα (weighted mean of Kα1 and Kα2). Input: a DFT-relaxed cell (PBE, Alexandria).
Neutral-atom scattering factors, no anomalous dispersion.

The 10 most intense peaks (10 to 90 degrees two-theta), by angle:
d/Å	2θ (°)	intensity
2.897	30.9	1000
2.051	44.1	369
2.045	44.3	365
1.678	54.7	69
1.671	55.0	191
1.448	64.3	118
1.297	72.9	111
1.294	73.2	162
1.182	81.4	81
1.181	81.5	81

Atomic structure:
```
Y5PuSe6
1.0
3.5396 -6.1384 0.0000
3.5396 6.1384 0.0000
-2.3643 0.0000 6.7110
Y Pu Se
5 1 6
Direct
0.0000 0.0000 0.0000
0.1677 0.8323 0.5000
0.3328 0.6672 0.0000
0.6672 0.3328 0.0000
0.8323 0.1677 0.5000
0.5000 0.5000 0.5000
0.0806 0.4157 0.2482
0.2479 0.2479 0.7509
0.4157 0.0806 0.2482
0.5843 0.9194 0.7518
0.7521 0.7521 0.2491
0.9194 0.5843 0.7518
```

[2]
# CeTh3Ru2
Simulated X-ray powder pattern, Cu Kα (weighted mean of Kα1 and Kα2). Input: a DFT-relaxed cell (PBE, Alexandria).
Neutral-atom scattering factors, no anomalous dispersion.

The 10 most intense peaks (10 to 90 degrees two-theta), by angle:
d/Å	2θ (°)	intensity
2.930	30.5	573
2.903	30.8	1000
2.816	31.8	958
2.453	36.6	769
2.313	38.9	262
2.264	39.8	395
1.930	47.1	271
1.758	52.0	311
1.607	57.3	356
1.420	65.8	239

Atomic structure:
```
CeTh3Ru2
1.0
6.4742 -3.2884 0.0000
6.4742 3.2884 0.0000
-2.3154 0.0000 7.3640
Ce Th Ru
2 6 4
Direct
0.2422 0.7578 0.7500
0.7578 0.2422 0.2500
0.2131 0.2177 0.6076
0.2177 0.2131 0.1076
0.2474 0.7526 0.2500
0.7526 0.2474 0.7500
0.7823 0.7869 0.8924
0.7869 0.7823 0.3924
0.3704 0.3747 0.4366
0.3747 0.3704 0.9366
0.6253 0.6296 0.0634
0.6296 0.6253 0.5634
```

[3]
# DyGaPt3
Simulated X-ray powder pattern, Cu Kα (weighted mean of Kα1 and Kα2). Input: a DFT-relaxed cell (PBE, Alexandria).
Neutral-atom scattering factors, no anomalous dispersion.

The 10 most intense peaks (10 to 90 degrees two-theta), by angle:
d/Å	2θ (°)	intensity
3.754	23.7	491
2.872	31.1	872
2.397	37.5	839
2.283	39.5	1000
2.266	39.8	997
2.182	41.4	492
2.138	42.3	923
2.020	44.9	335
1.708	53.6	346
1.437	64.9	367

Atomic structure:
```
DyGaPt3
1.0
5.6842 0.0000 0.0000
0.0000 4.4602 0.0000
0.0000 0.0000 7.5073
Dy Ga Pt
2 2 6
Direct
0.0000 0.0799 0.0000
0.5000 0.9201 0.5000
0.0000 0.3318 0.5781
0.5000 0.6682 0.0781
0.0000 0.8691 0.3989
0.2459 0.6226 0.7874
0.2541 0.3774 0.2874
0.5000 0.1309 0.8989
0.7459 0.3774 0.2874
0.7541 0.6226 0.7874
```

[4]
# SrWAu
Simulated X-ray powder pattern, Cu Kα (weighted mean of Kα1 and Kα2). Input: a DFT-relaxed cell (PBE, Alexandria).
Neutral-atom scattering factors, no anomalous dispersion.

The 10 most intense peaks (10 to 90 degrees two-theta), by angle:
d/Å	2θ (°)	intensity
5.821	15.2	1000
2.910	30.7	265
2.826	31.7	775
2.407	37.4	870
2.355	38.2	469
2.224	40.6	375
2.063	43.9	277
1.855	49.1	289
1.552	59.6	258
1.542	60.0	209

Atomic structure:
```
SrWAu
1.0
-1.4820 2.0625 5.8209
1.4820 -2.0625 5.8209
1.4820 2.0625 -5.8209
Sr W Au
1 1 1
Direct
0.0000 0.0000 0.0000
0.7146 0.7146 0.0000
0.2970 0.2970 0.0000
```

[5]
# Sm3Ho5Tl
Simulated X-ray powder pattern, Cu Kα (weighted mean of Kα1 and Kα2). Input: a DFT-relaxed cell (PBE, Alexandria).
Neutral-atom scattering factors, no anomalous dispersion.

The 10 most intense peaks (10 to 90 degrees two-theta), by angle:
d/Å	2θ (°)	intensity
3.258	27.4	574
3.069	29.1	744
2.914	30.7	231
2.762	32.4	1000
2.684	33.4	180
2.513	35.7	209
2.293	39.3	172
2.206	40.9	205
2.010	45.1	163
1.769	51.7	146

Atomic structure:
```
Sm3Ho5Tl
1.0
-4.6076 4.6076 6.8999
4.6076 -4.6076 6.8999
4.6076 4.6076 -6.8999
Sm Ho Tl
6 10 2
Direct
0.1160 0.6160 0.7321
0.2500 0.2500 0.0000
0.3840 0.1160 0.5000
0.6160 0.8840 0.5000
0.7500 0.7500 0.0000
0.8840 0.3840 0.2679
0.0000 0.0000 0.0000
0.0563 0.1738 0.5000
0.1738 0.6738 0.1175
0.3262 0.4437 0.5000
0.4437 0.9437 0.1175
0.5000 0.5000 0.0000
0.5563 0.0563 0.8825
0.6738 0.5563 0.5000
0.8262 0.3262 0.8825
0.9437 0.8262 0.5000
0.2500 0.7500 0.5000
0.7500 0.2500 0.5000
```

[6]
# Tm6CdOs
Simulated X-ray powder pattern, Cu Kα (weighted mean of Kα1 and Kα2). Input: a DFT-relaxed cell (PBE, Alexandria).
Neutral-atom scattering factors, no anomalous dispersion.

The 10 most intense peaks (10 to 90 degrees two-theta), by angle:
d/Å	2θ (°)	intensity
8.505	10.4	76
2.707	33.1	1000
2.483	36.2	480
2.205	40.9	104
1.868	48.8	79
1.755	52.1	170
1.615	57.0	112
1.473	63.1	313
1.128	86.2	68
1.110	88.0	80

Atomic structure:
```
Tm6CdOs
1.0
-2.4825 2.4825 8.5049
2.4825 -2.4825 8.5049
2.4825 2.4825 -8.5049
Tm Cd Os
6 1 1
Direct
0.1005 0.6005 0.5000
0.2495 0.2495 0.0000
0.3995 0.8995 0.5000
0.6005 0.1005 0.5000
0.7505 0.7505 0.0000
0.8995 0.3995 0.5000
0.0000 0.0000 0.0000
0.5000 0.5000 0.0000
```

[7]
# Ca2Zn2F7
Simulated X-ray powder pattern, Cu Kα (weighted mean of Kα1 and Kα2). Input: a DFT-relaxed cell (PBE, Alexandria).
Neutral-atom scattering factors, no anomalous dispersion.

The 10 most intense peaks (10 to 90 degrees two-theta), by angle:
d/Å	2θ (°)	intensity
3.822	23.3	341
3.361	26.5	1000
3.344	26.7	997
3.212	27.8	672
2.989	29.9	316
2.797	32.0	287
2.254	40.0	309
2.109	42.9	287
1.868	48.8	299
1.600	57.6	275

Atomic structure:
```
Ca2Zn2F7
1.0
5.5419 0.0000 0.0000
-0.2664 5.6348 0.0000
-0.3124 -0.6805 5.5926
Ca Zn F
2 2 7
Direct
0.0009 0.2824 0.2184
0.9991 0.7176 0.7816
0.4549 0.2575 0.7620
0.5451 0.7425 0.2380
0.2192 0.0630 0.9373
0.2186 0.4350 0.5664
0.2416 0.5696 0.0710
0.5000 0.0000 0.5000
0.7584 0.4304 0.9290
0.7814 0.5650 0.4336
0.7808 0.9370 0.0627
```

[8]
# Li5ZrS5
Simulated X-ray powder pattern, Cu Kα (weighted mean of Kα1 and Kα2). Input: a DFT-relaxed cell (PBE, Alexandria).
Neutral-atom scattering factors, no anomalous dispersion.

The 10 most intense peaks (10 to 90 degrees two-theta), by angle:
d/Å	2θ (°)	intensity
6.846	12.9	1000
5.710	15.5	166
5.304	16.7	570
4.653	19.1	981
3.822	23.3	298
2.652	33.8	500
2.591	34.6	457
2.548	35.2	522
1.837	49.6	308
1.817	50.2	291

Atomic structure:
```
Li5ZrS5
1.0
6.0309 -2.5473 0.0000
6.0309 2.5473 0.0000
-2.3253 0.0000 6.8459
Li Zr S
5 1 5
Direct
0.0000 0.0000 0.0000
0.3078 0.3078 0.1766
0.3099 0.3099 0.6338
0.6901 0.6901 0.3661
0.6922 0.6922 0.8234
0.0000 0.0000 0.5000
0.1508 0.1508 0.3196
0.1640 0.1640 0.8296
0.5000 0.5000 0.5000
0.8360 0.8360 0.1704
0.8492 0.8492 0.6804
```